# 1
For DyTh2SiN5, a GGA-PBE-relaxed structure gives the calculated XRD peak list in this record (Cu Kα, 1.54184 Å).

Principal peaks in the range 2θ from 10° to 80°, sorted by position:
Position (°2θ)	Rel. int.
15.36	29
24.40	24
30.00	28
31.00	100
33.86	58
42.93	19
43.68	34
57.00	21
59.41	18
61.18	15

Structural model:
abc: 6.6614 6.6614 5.7692
angles: 90.00 90.00 90.00
Positions (direct):
Dy (0.0000, 0.0000, 0.0000)
Dy (0.5000, 0.5000, 0.0000)
Th (0.1778, 0.3222, 0.5000)
Th (0.3222, 0.8222, 0.5000)
Th (0.6778, 0.1778, 0.5000)
Th (0.8222, 0.6778, 0.5000)
Si (0.0000, 0.5000, 0.0000)
Si (0.5000, 0.0000, 0.0000)
N (0.0000, 0.0000, 0.5000)
N (0.1383, 0.6383, 0.2180)
N (0.1383, 0.6383, 0.7820)
N (0.3617, 0.1383, 0.2180)
N (0.3617, 0.1383, 0.7820)
N (0.5000, 0.5000, 0.5000)
N (0.6383, 0.8617, 0.2180)
N (0.6383, 0.8617, 0.7820)
N (0.8617, 0.3617, 0.2180)
N (0.8617, 0.3617, 0.7820)

# 2
For SrIrO3, a GGA-PBE-relaxed structure gives the calculated XRD peak list in this record (Cu Kα, 1.54184 Å).

Principal peaks in the range 2θ from 10° to 80°, sorted by position:
Position (°2θ)	Rel. int.
19.18	38
19.65	21
21.95	27
30.73	89
31.04	32
31.44	53
32.32	100
44.76	44
55.53	18
56.50	38

Structural model:
abc: 5.5422 5.5422 14.4882
angles: 90.00 90.00 118.21
Positions (direct):
Sr (0.0082, 0.9918, 0.7500)
Sr (0.3235, 0.6765, 0.1082)
Sr (0.3235, 0.6765, 0.3918)
Sr (0.6765, 0.3235, 0.6082)
Sr (0.6765, 0.3235, 0.8918)
Sr (0.9918, 0.0082, 0.2500)
Ir (0.0000, 0.0000, 0.0000)
Ir (0.0000, 0.0000, 0.5000)
Ir (0.3390, 0.6610, 0.6519)
Ir (0.3390, 0.6610, 0.8481)
Ir (0.6610, 0.3390, 0.1519)
Ir (0.6610, 0.3390, 0.3481)
O (0.0245, 0.5188, 0.7500)
O (0.2007, 0.2791, 0.5983)
O (0.2007, 0.2791, 0.9017)
O (0.2020, 0.7980, 0.5428)
O (0.2020, 0.7980, 0.9572)
O (0.2791, 0.2007, 0.0983)
O (0.2791, 0.2007, 0.4017)
O (0.4812, 0.9755, 0.7500)
O (0.4870, 0.5130, 0.7500)
O (0.5130, 0.4870, 0.2500)
O (0.5188, 0.0245, 0.2500)
O (0.7209, 0.7993, 0.5983)
O (0.7209, 0.7993, 0.9017)
O (0.7980, 0.2020, 0.0428)
O (0.7980, 0.2020, 0.4572)
O (0.7993, 0.7209, 0.0983)
O (0.7993, 0.7209, 0.4017)
O (0.9755, 0.4812, 0.2500)

# 3
For YSn5Te7, a GGA-PBE-relaxed structure gives the calculated XRD peak list in this record (Cu Kα, 1.54184 Å).

Principal peaks in the range 2θ from 10° to 80°, sorted by position:
Position (°2θ)	Rel. int.
26.72	71
27.88	100
28.93	90
29.89	36
37.70	42
38.84	31
39.91	32
40.26	40
40.71	37
41.15	44

Structural model:
abc: 4.3868 26.0642 7.8334
angles: 90.00 106.25 90.00
Positions (direct):
Y (0.2073, 0.0000, 0.4146)
Y (0.7927, 0.5000, 0.5854)
Sn (0.0133, 0.7605, 0.0263)
Sn (0.2556, 0.3366, 0.5140)
Sn (0.2863, 0.6868, 0.5736)
Sn (0.4438, 0.1121, 0.8860)
Sn (0.4756, 0.9122, 0.9503)
Sn (0.5244, 0.4122, 0.0497)
Sn (0.5562, 0.6121, 0.1140)
Sn (0.7137, 0.1868, 0.4264)
Sn (0.7444, 0.8366, 0.4860)
Sn (0.9867, 0.2605, 0.9737)
Te (0.0723, 0.1556, 0.1448)
Te (0.1172, 0.8855, 0.2341)
Te (0.1743, 0.4428, 0.3479)
Te (0.2058, 0.5788, 0.4112)
Te (0.3494, 0.2238, 0.6981)
Te (0.3776, 0.7996, 0.7550)
Te (0.4352, 0.5157, 0.8709)
Te (0.5648, 0.0157, 0.1291)
Te (0.6224, 0.2996, 0.2450)
Te (0.6506, 0.7238, 0.3019)
Te (0.7942, 0.0788, 0.5888)
Te (0.8257, 0.9428, 0.6521)
Te (0.8828, 0.3855, 0.7659)
Te (0.9277, 0.6556, 0.8552)

# 4
For Rb2Au2Br5, a GGA-PBE-relaxed structure gives the calculated XRD peak list in this record (Cu Kα, 1.54184 Å).

Principal peaks in the range 2θ from 10° to 80°, sorted by position:
Position (°2θ)	Rel. int.
10.38	74
13.82	33
19.76	45
22.62	49
24.59	44
26.12	100
31.74	42
34.22	44
38.71	33
40.20	34

Structural model:
abc: 8.9988 8.9988 8.5665
angles: 95.67 95.67 29.96
Positions (direct):
Rb (0.0772, 0.0772, 0.2944)
Rb (0.9228, 0.9228, 0.7056)
Au (0.3522, 0.3522, 0.1017)
Au (0.6478, 0.6478, 0.8983)
Br (0.2872, 0.2872, 0.8311)
Br (0.4085, 0.4085, 0.3786)
Br (0.5000, 0.5000, 0.0000)
Br (0.5915, 0.5915, 0.6214)
Br (0.7128, 0.7128, 0.1689)